Entry 1:
Computed X-ray powder pattern of Hf2FeNiSb2 for copper Kα, from a DFT-relaxed cell (PBE, OQMD).

Principal peaks in the range 10° ≤ 2θ ≤ 80°, sorted by position:
h k l, Position (°2θ), d/Å, Rel. int.
1 1 2, 25.4, 3.510, 14
0 0 4, 29.4, 3.040, 56
2 2 0, 42.0, 2.149, 100
1 1 6, 49.7, 1.833, 7
2 2 4, 52.1, 1.755, 15
0 0 8, 61.0, 1.520, 16
3 1 6, 67.1, 1.395, 3
2 0 8, 69.1, 1.359, 20
2 2 8, 76.8, 1.241, 33

Unit cell a=6.0820 b=6.0820 c=12.1475 alpha=90.00 beta=90.00 gamma=90.00
Space group I-42d (No. 122)
Inequivalent atoms, fractional coordinates:
Hf (0.2443, 0.7500, 0.1250) [8 per cell]
Fe (0.0000, 0.0000, 0.0000) [4 per cell]
Ni (0.0000, 0.0000, 0.5000) [4 per cell]
Sb (0.2480, 0.2500, 0.1250) [8 per cell]



Entry 2:
Computed X-ray powder pattern of RbNdNb2O7 for copper Kα, from a DFT-relaxed cell (PBE, OQMD).

Principal peaks in the range 10° ≤ 2θ ≤ 80°, sorted by position:
h k l, Position (°2θ), d/Å, Rel. int.
0 2 4, 28.3, 3.158, 98
2 0 4, 28.4, 3.140, 100
0 0 8, 32.7, 2.735, 20
2 2 0, 32.9, 2.723, 78
2 0 6, 33.9, 2.642, 14
0 0 10, 41.3, 2.188, 12
0 4 0, 47.0, 1.934, 21
2 2 8, 47.1, 1.930, 37
4 0 0, 47.4, 1.917, 19
2 2 10, 53.7, 1.705, 14
2 4 4, 55.8, 1.647, 41
4 2 4, 56.1, 1.639, 31

Unit cell a=7.6691 b=7.7356 c=21.8767 alpha=90.00 beta=90.00 gamma=90.00
Space group Cmce (No. 64)
Inequivalent atoms, fractional coordinates:
Rb (0.0000, 0.2361, 0.2472) [8 per cell]
Nd (0.0000, 0.2398, 0.0013) [8 per cell]
Nb (0.2495, 0.0020, 0.3950) [16 per cell]
O (0.0000, 0.0246, 0.5727) [8 per cell]
O (0.0000, 0.0715, 0.1039) [8 per cell]
O (0.1970, 0.0000, 0.0000) [8 per cell]
O (0.2038, 0.2439, 0.9150) [16 per cell]
O (0.2150, 0.0097, 0.6859) [16 per cell]



Entry 3:
Computed X-ray powder pattern of DyYPbC for copper Kα, from a DFT-relaxed cell (PBE, OQMD).

Principal peaks in the range 10° ≤ 2θ ≤ 80°, sorted by position:
h k l, Position (°2θ), d/Å, Rel. int.
0 0 2, 11.0, 8.069, 4
1 0 0, 28.3, 3.153, 24
1 0 1, 28.8, 3.095, 4
1 0 3, 32.9, 2.720, 100
0 0 6, 33.3, 2.690, 20
1 0 6, 44.3, 2.046, 17
1 1 0, 50.1, 1.821, 21
2 0 0, 58.5, 1.577, 3
1 0 9, 59.3, 1.559, 19
2 0 3, 61.3, 1.513, 17
1 1 6, 61.5, 1.508, 21
2 0 6, 69.1, 1.360, 5

Unit cell a=3.6411 b=3.6411 c=16.1386 alpha=90.00 beta=90.00 gamma=120.00
Space group P-6m2 (No. 187)
Inequivalent atoms, fractional coordinates:
Dy (0.0000, 0.0000, 0.1675) [2 per cell]
Y (0.3333, 0.6667, 0.3327) [2 per cell]
Pb (0.0000, 0.0000, 0.5000) [1 per cell]
Pb (0.3333, 0.6667, 0.0000) [1 per cell]
C (0.6667, 0.3333, 0.2499) [2 per cell]



Entry 4:
Computed X-ray powder pattern of Na4Hf2Ge3O12 for copper Kα, from a DFT-relaxed cell (PBE, OQMD).

Principal peaks in the range 10° ≤ 2θ ≤ 80°, sorted by position:
h k l, Position (°2θ), d/Å, Rel. int.
1 1 0, 18.9, 4.694, 76
1 0 4, 19.4, 4.581, 100
1 1 3, 22.4, 3.963, 48
0 2 4, 27.2, 3.279, 57
1 1 6, 30.8, 2.904, 100
3 0 0, 33.1, 2.710, 94
2 1 4, 33.3, 2.688, 47
1 3 4, 43.3, 2.089, 20
1 2 8, 44.0, 2.059, 21
2 2 6, 45.8, 1.982, 34
4 1 0, 51.5, 1.774, 20
4 1 6, 57.6, 1.600, 29

Unit cell a=9.3886 b=9.3886 c=22.1812 alpha=90.00 beta=90.00 gamma=120.00
Space group R-3c (No. 167, hexagonal axes)
Inequivalent atoms, fractional coordinates:
Na (0.0000, 0.0000, 0.0000) [6 per cell]
Na (0.0000, 0.3772, 0.2500) [18 per cell]
Hf (0.0000, 0.0000, 0.1430) [12 per cell]
Ge (0.0000, 0.2947, 0.7500) [18 per cell]
O (0.0169, 0.1975, 0.6853) [36 per cell]
O (0.0184, 0.1765, 0.4200) [36 per cell]